# LiTi4VO8
Theoretical powder diffraction line list, λ = 1.5418 Å (Cu Kα). Input: a crystal structure in Alexandria, relaxed with GGA+U.
Kinematic intensities with the Lorentz-polarization factor, no thermal factor.

Largest 10 diffraction maxima, sorted by position, 2θ from 10° to 80°:
(1 0 0), 18.31 deg, I = 16.1
(1 -1 0), 18.49 deg, I = 100.0
(1 1 0), 35.25 deg, I = 14.6
(2 0 0), 37.10 deg, I = 15.2
(0 2 0), 42.90 deg, I = 51.9
(2 0 -2), 43.09 deg, I = 50.4
(2 -2 2), 43.88 deg, I = 47.9
(2 2 -2), 61.99 deg, I = 14.3
(2 0 2), 62.91 deg, I = 26.8
(0 2 -4), 63.11 deg, I = 26.7

Structural model:
```
data_LiTi4VO8
_symmetry_space_group_name_H-M 'P -1'
_symmetry_Int_Tables_number 2
_symmetry_space_group_name_Hall '-P 1'
_cell_length_a 5.876
_cell_length_b 5.890
_cell_length_c 5.897
_cell_angle_alpha 119.79
_cell_angle_beta 90.99
_cell_angle_gamma 118.81
loop_
_atom_site_label
_atom_site_type_symbol
_atom_site_fract_x
_atom_site_fract_y
_atom_site_fract_z
Li1 Li 0.000 0.000 0.000
Ti1 Ti 0.000 0.500 0.500
Ti2 Ti 0.500 0.000 0.000
Ti3 Ti 0.500 0.000 0.500
Ti4 Ti 0.500 0.500 0.000
V1 V 0.000 0.500 0.000
O1 O 0.252 0.504 0.252
O2 O 0.253 0.000 0.752
O3 O 0.256 0.516 0.761
O4 O 0.277 0.989 0.239
```